No. 1
Structure and calculated PXRD pattern of Cu3N (a PBE-relaxed structure; Cu Ka).

Structural model:
```
32
Lattice="7.4467 0.0000 0.0000 0.0000 7.4467 0.0000 0.0000 0.0000 7.4103" Properties=species:S:1:pos:R:3 pbc="T T T"
Cu 0.0000 1.8223 0.0000
Cu 0.0000 1.8516 3.7051
Cu 0.0000 3.7234 1.8900
Cu 0.0000 3.7234 5.5203
Cu 0.0000 5.5951 3.7051
Cu 0.0000 5.6244 0.0000
Cu 1.8223 0.0000 0.0000
Cu 1.8516 0.0000 3.7051
Cu 1.8977 3.7234 0.0000
Cu 1.9417 1.9417 1.9891
Cu 1.9417 1.9417 5.4212
Cu 1.9417 5.5050 1.9891
Cu 1.9417 5.5050 5.4212
Cu 3.7234 0.0000 1.8900
Cu 3.7234 0.0000 5.5203
Cu 3.7234 1.8977 0.0000
Cu 3.7234 5.5490 0.0000
Cu 5.5050 1.9417 1.9891
Cu 5.5050 1.9417 5.4212
Cu 5.5050 5.5050 1.9891
Cu 5.5050 5.5050 5.4212
Cu 5.5490 3.7234 0.0000
Cu 5.5951 0.0000 3.7051
Cu 5.6244 0.0000 0.0000
N 0.0000 0.0000 0.0000
N 0.0000 0.0000 3.7051
N 0.0000 3.7234 0.0000
N 0.0000 3.7234 3.7051
N 3.7234 0.0000 0.0000
N 3.7234 0.0000 3.7051
N 3.7234 3.7234 0.0000
N 3.7234 3.7234 3.7051
```

Most intense lines, 2θ from 10° to 80°, by intensity:
(2 2 2), 2θ = 42.1°, I 100
(4 0 0), 2θ = 48.9°, I 40
(1 1 0), 2θ = 16.9°, I 22
(4 0 4), 2θ = 71.9°, I 21
(0 0 4), 2θ = 49.2°, I 19
(0 0 1), 2θ = 11.9°, I 15
(1 1 2), 2θ = 29.5°, I 14
(2 2 1), 2θ = 36.2°, I 14
(4 4 0), 2θ = 71.7°, I 11
(2 0 2), 2θ = 34.1°, I 11

***

No. 2
Structure and calculated PXRD pattern of Cu3N (a PBE-relaxed structure; Cu Ka).

Structural model:
```
4
Lattice="3.4895 0.0000 0.0000 0.0000 3.4895 0.0000 0.0000 0.0000 3.4895" Properties=species:S:1:pos:R:3 pbc="T T T"
Cu 0.0000 0.0000 1.7447
Cu 0.0000 1.7447 0.0000
Cu 1.7447 0.0000 0.0000
N 1.7447 1.7447 1.7447
```

Most intense lines, 2θ from 10° to 80°, by intensity:
(1 1 1), 2θ = 45.0°, I 100
(2 0 0), 2θ = 52.4°, I 46
(2 2 0), 2θ = 77.3°, I 26
(1 0 0), 2θ = 25.5°, I 22
(1 1 0), 2θ = 36.4°, I 18
(2 1 0), 2θ = 59.2°, I 9
(2 1 1), 2θ = 65.5°, I 6

***

No. 3
Structure and calculated PXRD pattern of Cu3N (a PBE-relaxed structure; Cu Ka).

Structural model:
```
4
Lattice="3.8147 0.0000 0.0000 0.0000 3.8147 0.0000 0.0000 0.0000 3.8147" Properties=species:S:1:pos:R:3 pbc="T T T"
Cu 0.0000 0.0000 1.9074
Cu 0.0000 1.9074 0.0000
Cu 1.9074 0.0000 0.0000
N 0.0000 0.0000 0.0000
```

Most intense lines, 2θ from 10° to 80°, by intensity:
(1 1 1), 2θ = 41.0°, I 100
(1 0 0), 2θ = 23.3°, I 63
(2 0 0), 2θ = 47.7°, I 60
(2 2 0), 2θ = 69.7°, I 34
(2 1 0), 2θ = 53.7°, I 22
(1 1 0), 2θ = 33.2°, I 22
(3 0 0), 2θ = 74.6°, I 9
(2 1 1), 2θ = 59.3°, I 8
(3 1 0), 2θ = 79.4°, I 3

***

No. 4
Structure and calculated PXRD pattern of CuN (a PBE-relaxed structure; Cu Ka).

Structural model:
```
8
Lattice="5.2527 0.0000 0.0000 0.0000 2.8316 0.0000 -1.4521 0.0000 5.9314" Properties=species:S:1:pos:R:3 pbc="T T T"
Cu 0.1195 0.0000 2.0120
Cu 1.0548 1.4158 3.9194
Cu 2.7459 1.4158 2.0120
Cu 3.6812 0.0000 3.9194
N -0.0064 1.4158 0.5911
N 1.1807 0.0000 5.3403
N 2.6200 0.0000 0.5911
N 3.8071 1.4158 5.3403
```

Most intense lines, 2θ from 10° to 80°, by intensity:
(1 1 1), 2θ = 41.1°, I 100
(1 1 -2), 2θ = 44.9°, I 65
(2 0 -1), 2θ = 34.8°, I 64
(0 0 1), 2θ = 14.9°, I 63
(1 1 0), 2θ = 36.3°, I 37
(2 0 -2), 2θ = 40.8°, I 30
(0 0 3), 2θ = 45.9°, I 27
(2 0 1), 2θ = 41.7°, I 25
(1 1 -3), 2θ = 56.1°, I 22
(3 1 -1), 2θ = 62.4°, I 16

***

No. 5
Structure and calculated PXRD pattern of Cu3N (a PBE-relaxed structure; Cu Ka).

Structural model:
```
8
Lattice="2.8437 0.0000 0.0000 0.0000 2.8437 0.0000 0.0000 0.0000 11.0118" Properties=species:S:1:pos:R:3 pbc="T T T"
Cu 0.0000 0.0000 0.0000
Cu 0.0000 0.0000 3.5440
Cu 0.0000 0.0000 7.4679
Cu 1.4218 1.4218 1.9619
Cu 1.4218 1.4218 5.5059
Cu 1.4218 1.4218 9.0499
N 0.0000 0.0000 5.5059
N 1.4218 1.4218 0.0000
```

Most intense lines, 2θ from 10° to 80°, by intensity:
(1 0 3), 2θ = 40.1°, I 100
(1 1 0), 2θ = 45.1°, I 46
(2 1 3), 2θ = 79.8°, I 24
(1 1 6), 2θ = 69.3°, I 20
(0 0 6), 2θ = 49.7°, I 15
(2 0 0), 2θ = 65.7°, I 14
(0 0 4), 2θ = 32.5°, I 3
(1 0 5), 2θ = 52.6°, I 3
(1 1 4), 2θ = 56.7°, I 2
(1 0 7), 2θ = 68.1°, I 2

***

No. 6
Structure and calculated PXRD pattern of Cu3N (a PBE-relaxed structure; Cu Ka).

Structural model:
```
4
Lattice="2.7451 0.0000 0.0000 -1.3725 2.3773 0.0000 0.0000 0.0000 6.6127" Properties=species:S:1:pos:R:3 pbc="T T T"
Cu 0.0000 0.0000 0.0000
Cu 0.0000 1.5849 2.0156
Cu 1.3725 0.7924 4.5971
N 0.0000 0.0000 3.3063
```

Most intense lines, 2θ from 10° to 80°, by intensity:
(0 1 1), 2θ = 40.3°, I 100
(1 0 2), 2θ = 47.1°, I 78
(0 0 3), 2θ = 40.9°, I 26
(1 1 0), 2θ = 68.3°, I 23
(0 1 4), 2θ = 69.2°, I 17
(0 1 3), 2θ = 57.0°, I 7
(0 0 4), 2θ = 55.6°, I 4
(0 0 2), 2θ = 27.0°, I 1
(0 0 5), 2θ = 71.3°, I 1
(1 1 2), 2θ = 74.9°, I 1

***

No. 7
Structure and calculated PXRD pattern of Cu3N (a PBE-relaxed structure; Cu Ka).

Structural model:
```
8
Lattice="2.8594 0.0000 0.0000 0.0000 3.7898 0.0000 0.0000 0.0000 8.1734" Properties=species:S:1:pos:R:3 pbc="T T T"
Cu 0.0000 0.0000 0.0000
Cu 0.0000 0.0000 2.6231
Cu 0.0000 0.0000 5.5503
Cu 1.4297 1.8949 1.4636
Cu 1.4297 1.8949 4.0867
Cu 1.4297 1.8949 6.7098
N 0.0000 1.8949 0.0000
N 1.4297 0.0000 4.0867
```

Most intense lines, 2θ from 10° to 80°, by intensity:
(1 1 0), 2θ = 39.5°, I 100
(0 1 3), 2θ = 40.8°, I 88
(1 0 3), 2θ = 46.0°, I 78
(1 2 3), 2θ = 68.7°, I 42
(0 2 0), 2θ = 48.0°, I 35
(2 1 3), 2θ = 79.9°, I 22
(2 0 0), 2θ = 65.3°, I 13
(0 0 6), 2θ = 68.9°, I 9
(1 1 2), 2θ = 45.5°, I 3
(0 0 4), 2θ = 44.3°, I 3

***

No. 8
Structure and calculated PXRD pattern of CuN (a PBE-relaxed structure; Cu Ka).

Structural model:
```
8
Lattice="4.4311 0.0000 0.0000 0.0000 4.4311 0.0000 0.0000 0.0000 4.4311" Properties=species:S:1:pos:R:3 pbc="T T T"
Cu 0.0000 0.0000 0.0000
Cu 0.0000 2.2156 2.2156
Cu 2.2156 0.0000 2.2156
Cu 2.2156 2.2156 0.0000
N 1.1078 1.1078 3.3234
N 1.1078 3.3234 1.1078
N 3.3234 1.1078 1.1078
N 3.3234 3.3234 3.3234
```

Most intense lines, 2θ from 10° to 80°, by intensity:
(1 1 1), 2θ = 35.1°, I 100
(2 2 0), 2θ = 59.0°, I 39
(3 1 1), 2θ = 70.5°, I 33
(2 0 0), 2θ = 40.7°, I 31
(2 2 2), 2θ = 74.1°, I 7

***

No. 9
Structure and calculated PXRD pattern of Cu10N3 (a PBE-relaxed structure; Cu Ka).

Structural model:
```
13
Lattice="5.4234 0.0000 0.0000 -2.7117 4.6968 0.0000 0.0000 0.0000 6.6132" Properties=species:S:1:pos:R:3 pbc="T T T"
Cu 0.0000 0.0000 0.0000
Cu -1.3559 2.3484 0.0000
Cu 0.0000 1.5352 2.1766
Cu -1.3822 3.9292 2.1766
Cu 1.3295 0.7676 4.4366
Cu 2.7117 0.0000 0.0000
Cu 1.3559 2.3484 0.0000
Cu 1.3822 3.9292 2.1766
Cu 4.0939 0.7676 4.4366
Cu 2.7117 3.1616 4.4366
N 0.0000 0.0000 3.3066
N 0.0000 3.1312 1.1484
N 2.7117 1.5656 5.4648
```

Most intense lines, 2θ from 10° to 80°, by intensity:
(0 2 1), 2θ = 40.8°, I 100
(2 0 2), 2θ = 47.5°, I 78
(1 0 1), 2θ = 23.2°, I 39
(0 0 3), 2θ = 40.9°, I 33
(2 2 0), 2θ = 69.3°, I 22
(0 2 4), 2θ = 69.5°, I 22
(1 0 0), 2θ = 18.9°, I 11
(0 1 2), 2θ = 33.1°, I 9
(2 1 1), 2θ = 53.4°, I 8
(0 0 1), 2θ = 13.4°, I 7

***

No. 10
Structure and calculated PXRD pattern of Cu2N (a PBE-relaxed structure; Cu Ka).

Structural model:
```
3
Lattice="2.9226 0.0000 0.0000 0.0000 2.9226 0.0000 0.0000 0.0000 3.7649" Properties=species:S:1:pos:R:3 pbc="T T T"
Cu 0.0000 0.0000 0.0000
Cu 1.4613 1.4613 1.8824
N 0.0000 0.0000 1.8824
```

Most intense lines, 2θ from 10° to 80°, by intensity:
(1 0 1), 2θ = 39.0°, I 100
(1 1 0), 2θ = 43.8°, I 51
(1 1 2), 2θ = 67.3°, I 25
(2 1 1), 2θ = 77.3°, I 24
(0 0 2), 2θ = 48.4°, I 19
(2 0 0), 2θ = 63.7°, I 15
(0 0 1), 2θ = 23.6°, I 1
(1 0 0), 2θ = 30.6°, I 1

***

No. 11
Structure and calculated PXRD pattern of Cu3N (a PBE-relaxed structure; Cu Ka).

Structural model:
```
8
Lattice="3.7047 0.0000 0.0000 0.0000 3.7047 0.0000 0.0000 0.0000 7.3609" Properties=species:S:1:pos:R:3 pbc="T T T"
Cu 0.0000 0.0000 1.2601
Cu 0.0000 0.0000 6.1009
Cu 0.0000 1.8524 3.6805
Cu 1.8524 0.0000 3.6805
Cu 1.8524 1.8524 1.7515
Cu 1.8524 1.8524 5.6094
N 1.8524 1.8524 0.0000
N 1.8524 1.8524 3.6805
```

Most intense lines, 2θ from 10° to 80°, by intensity:
(1 1 2), 2θ = 42.4°, I 100
(1 1 1), 2θ = 36.4°, I 67
(2 0 0), 2θ = 49.2°, I 57
(0 0 3), 2θ = 36.6°, I 34
(2 0 3), 2θ = 62.9°, I 25
(1 1 0), 2θ = 34.2°, I 24
(0 0 1), 2θ = 12.0°, I 20
(1 0 4), 2θ = 55.8°, I 17
(2 2 0), 2θ = 72.1°, I 16
(1 1 5), 2θ = 73.8°, I 12

***

No. 12
Structure and calculated PXRD pattern of CuN (a PBE-relaxed structure; Cu Ka).

Structural model:
```
8
Lattice="4.1655 0.0000 0.0000 0.0000 4.1655 0.0000 0.0000 0.0000 4.1655" Properties=species:S:1:pos:R:3 pbc="T T T"
Cu 0.0000 0.0000 0.0000
Cu 0.0000 2.0828 2.0828
Cu 2.0828 0.0000 2.0828
Cu 2.0828 2.0828 0.0000
N 0.0000 0.0000 2.0828
N 0.0000 2.0828 0.0000
N 2.0828 0.0000 0.0000
N 2.0828 2.0828 2.0828
```

Most intense lines, 2θ from 10° to 80°, by intensity:
(2 0 0), 2θ = 43.4°, I 100
(1 1 1), 2θ = 37.4°, I 97
(2 2 0), 2θ = 63.1°, I 58
(3 1 1), 2θ = 75.7°, I 35
(2 2 2), 2θ = 79.7°, I 18

***

No. 13
Structure and calculated PXRD pattern of NaCuN (a PBE-relaxed structure; Cu Ka).

Structural model:
```
6
Lattice="3.3020 0.0000 0.0000 -1.6510 2.8596 0.0000 0.0000 0.0000 8.7557" Properties=species:S:1:pos:R:3 pbc="T T T"
Na 0.0000 1.9064 0.0000
Na 1.6510 0.9532 4.3779
Cu 0.0000 0.0000 2.3134
Cu 0.0000 0.0000 6.6912
N 0.0000 1.9064 2.5320
N 1.6510 0.9532 6.9098
```

Most intense lines, 2θ from 10° to 80°, by intensity:
(1 0 2), 2θ = 37.6°, I 100
(0 0 2), 2θ = 20.3°, I 52
(1 0 0), 2θ = 31.3°, I 37
(1 1 0), 2θ = 55.7°, I 29
(0 0 4), 2θ = 41.2°, I 24
(1 1 4), 2θ = 71.6°, I 23
(1 0 4), 2θ = 52.7°, I 18
(2 0 2), 2θ = 69.1°, I 15
(1 1 2), 2θ = 59.9°, I 13
(1 0 6), 2θ = 72.8°, I 13

***

No. 14
Structure and calculated PXRD pattern of NaCuN (a PBE-relaxed structure; Cu Ka).

Structural model:
```
12
Lattice="8.7699 0.0000 0.0000 0.0000 3.5519 0.0000 0.0000 0.0000 5.8746" Properties=species:S:1:pos:R:3 pbc="T T T"
Na 1.4247 0.8880 0.3938
Na 2.9603 2.6640 3.3311
Na 5.8096 0.8880 2.5435
Na 7.3453 2.6640 5.4808
Cu 0.4185 0.8880 3.6228
Cu 3.9665 2.6640 0.6856
Cu 4.8034 0.8880 5.1890
Cu 8.3514 2.6640 2.2517
N 0.6305 2.6640 4.1084
N 3.7545 0.8880 1.1711
N 5.0155 2.6640 4.7035
N 8.1394 0.8880 1.7662
```

Most intense lines, 2θ from 10° to 80°, by intensity:
(1 0 1), 2θ = 18.2°, I 100
(2 0 0), 2θ = 20.3°, I 69
(1 1 2), 2θ = 41.2°, I 66
(3 0 1), 2θ = 34.3°, I 36
(2 1 0), 2θ = 32.4°, I 34
(2 1 1), 2θ = 36.0°, I 25
(0 2 0), 2θ = 51.4°, I 24
(3 0 2), 2θ = 43.7°, I 23
(4 0 1), 2θ = 44.1°, I 22
(1 0 2), 2θ = 32.1°, I 22

***

No. 15
Structure and calculated PXRD pattern of NaCuN (a PBE-relaxed structure; Cu Ka).

Structural model:
```
6
Lattice="4.2299 0.0000 0.0000 0.0000 3.3534 0.0000 0.0000 0.0000 5.6296" Properties=species:S:1:pos:R:3 pbc="T T T"
Na 0.0000 0.0000 0.0000
Na 0.0000 1.6767 2.8148
Cu 2.1149 0.0000 1.9541
Cu 2.1149 1.6767 4.7689
N 2.1149 0.0000 3.8556
N 2.1149 1.6767 1.0408
```

Most intense lines, 2θ from 10° to 80°, by intensity:
(1 1 1), 2θ = 37.8°, I 100
(1 0 0), 2θ = 21.0°, I 60
(1 0 2), 2θ = 38.4°, I 44
(0 1 1), 2θ = 31.0°, I 30
(2 0 0), 2θ = 42.8°, I 29
(0 1 3), 2θ = 56.2°, I 23
(2 1 3), 2θ = 73.1°, I 19
(0 0 2), 2θ = 31.8°, I 18
(1 2 2), 2θ = 68.9°, I 14
(0 2 0), 2θ = 54.7°, I 13